La5Pm3Sm2: theoretical XRD peak list (a wavelength of 1.5418 Å), based on a DFT-relaxed cell (GGA-PBE, Alexandria).
Intensities are scaled so that the largest is 100.

Peak list (10 most intense, 2θ = 10–90°, by angle)
| d [Å] | Position (°2θ) | I_rel | index |
| --- | --- | --- | --- |
| 3.107 | 28.7 | 95 | 2 2 1 |
| 2.922 | 30.6 | 100 | 2 4 0 |
| 2.830 | 31.6 | 21 | 0 4 2 |
| 2.781 | 32.2 | 48 | 4 0 -2 |
| 2.691 | 33.3 | 18 | 0 2 3 |
| 2.560 | 35.0 | 25 | 2 0 2 |
| 1.887 | 48.2 | 22 | 0 6 3 |
| 1.631 | 56.4 | 18 | 6 4 -4 |
| 1.561 | 59.2 | 29 | 4 6 -5 |
| 1.511 | 61.3 | 30 | 2 4 4 |

Structure:
```
data_La5Pm3Sm2
_chemical_formula_sum 'La20 Pm12 Sm8'
_symmetry_space_group_name_H-M 'C 1 2/c 1'
_symmetry_Int_Tables_number 15
_symmetry_space_group_name_Hall '-C 2yc'
_cell_length_a 11.1227
_cell_length_b 14.9669
_cell_length_c 10.2855
_cell_angle_alpha 90.00
_cell_angle_beta 122.73
_cell_angle_gamma 90.00
loop_
_atom_site_label
_atom_site_fract_x
_atom_site_fract_y
_atom_site_fract_z
La1 0.0000 0.0234 0.2500
La2 0.0000 0.2310 0.2500
La3 0.0000 0.2764 0.7500
La4 0.2463 0.3774 0.2431
Pm1 0.0000 0.4819 0.7500
Pm2 0.1523 0.1248 0.0562
Sm1 0.1559 0.3768 0.5604
```

LaPm10Sm4: theoretical XRD peak list (a wavelength of 1.5418 Å), based on a DFT-relaxed cell (GGA-PBE, Alexandria).
Intensities are scaled so that the largest is 100.

Peak list (10 most intense, 2θ = 10–90°, by angle)
| d [Å] | Position (°2θ) | I_rel | index |
| --- | --- | --- | --- |
| 4.143 | 21.4 | 14 | 1 2 1 |
| 3.424 | 26.0 | 27 | 1 0 3 |
| 3.166 | 28.2 | 83 | 1 3 0 |
| 2.826 | 31.7 | 100 | 1 2 3 |
| 2.739 | 32.7 | 43 | 1 3 2 |
| 2.239 | 40.3 | 30 | 4 2 0 |
| 2.209 | 40.9 | 25 | 3 2 3 |
| 1.847 | 49.3 | 15 | 4 0 4 |
| 1.579 | 58.4 | 21 | 3 1 6 |
| 1.371 | 68.5 | 17 | 7 1 2 |

Structure:
```
data_LaPm10Sm4
_chemical_formula_sum 'La2 Pm20 Sm8'
_symmetry_space_group_name_H-M 'I 4/m'
_symmetry_Int_Tables_number 87
_symmetry_space_group_name_Hall '-I 4'
_cell_length_a 10.0121
_cell_length_b 10.0121
_cell_length_c 10.9309
_cell_angle_alpha 90.00
_cell_angle_beta 90.00
_cell_angle_gamma 90.00
loop_
_atom_site_label
_atom_site_fract_x
_atom_site_fract_y
_atom_site_fract_z
La1 0.0000 0.0000 0.0000
Pm1 0.0000 0.5000 0.2500
Pm2 0.1196 0.7776 0.1701
Sm1 0.0568 0.7198 0.5000
```

La2Pm2Sm: theoretical XRD peak list (a wavelength of 1.5418 Å), based on a DFT-relaxed cell (GGA-PBE, Alexandria).
Intensities are scaled so that the largest is 100.

Peak list (10 most intense, 2θ = 10–90°, by angle)
| d [Å] | Position (°2θ) | I_rel | index |
| --- | --- | --- | --- |
| 3.160 | 28.2 | 61 | 1 1 2 |
| 3.149 | 28.3 | 59 | 2 2 -1 |
| 3.040 | 29.4 | 100 | 3 1 -1 |
| 2.995 | 29.8 | 66 | 0 2 2 |
| 2.947 | 30.3 | 94 | 1 1 -3 |
| 2.920 | 30.6 | 57 | 3 1 -2 |
| 2.646 | 33.9 | 37 | 2 0 2 |
| 2.631 | 34.1 | 38 | 1 3 0 |
| 2.604 | 34.4 | 43 | 1 3 -1 |
| 1.576 | 58.6 | 32 | 2 0 -6 |

Structure:
```
data_La2Pm2Sm
_chemical_formula_sum 'La8 Pm8 Sm4'
_symmetry_space_group_name_H-M 'C 1 2/c 1'
_symmetry_Int_Tables_number 15
_symmetry_space_group_name_Hall '-C 2yc'
_cell_length_a 9.8218
_cell_length_b 8.2544
_cell_length_c 9.4973
_cell_angle_alpha 90.00
_cell_angle_beta 113.54
_cell_angle_gamma 90.00
loop_
_atom_site_label
_atom_site_fract_x
_atom_site_fract_y
_atom_site_fract_z
La1 0.1158 0.1667 0.1480
Pm1 0.1647 0.4387 0.4773
Sm1 0.0000 0.2202 0.7500
```

La3Pm2Sm: theoretical XRD peak list (a wavelength of 1.5418 Å), based on a DFT-relaxed cell (GGA-PBE, Alexandria).
Intensities are scaled so that the largest is 100.

Peak list (10 most intense, 2θ = 10–90°, by angle)
| d [Å] | Position (°2θ) | I_rel | index |
| --- | --- | --- | --- |
| 3.429 | 26.0 | 30 | 0 1 1 |
| 3.204 | 27.8 | 62 | 2 2 0 |
| 3.029 | 29.5 | 100 | 0 6 0 |
| 2.945 | 30.4 | 26 | 1 2 1 |
| 2.771 | 32.3 | 22 | 1 6 0 |
| 2.735 | 32.7 | 41 | 2 4 0 |
| 2.568 | 34.9 | 23 | 1 4 1 |
| 2.268 | 39.7 | 48 | 2 3 1 |
| 1.514 | 61.2 | 18 | 0 6 2 |
| 1.490 | 62.3 | 19 | 4 6 0 |

Structure:
```
data_La3Pm2Sm
_chemical_formula_sum 'La6 Pm4 Sm2'
_symmetry_space_group_name_H-M 'P n n m'
_symmetry_Int_Tables_number 58
_symmetry_space_group_name_Hall '-P 2 2n'
_cell_length_a 6.8477
_cell_length_b 18.1875
_cell_length_c 3.4942
_cell_angle_alpha 90.00
_cell_angle_beta 90.00
_cell_angle_gamma 90.00
loop_
_atom_site_label
_atom_site_fract_x
_atom_site_fract_y
_atom_site_fract_z
La1 0.0000 0.0000 0.0000
La2 0.2311 0.3177 0.0000
Pm1 0.2267 0.1501 0.5000
Sm1 0.0000 0.5000 0.0000
```

La2Pm3Sm2: theoretical XRD peak list (a wavelength of 1.5418 Å), based on a DFT-relaxed cell (GGA-PBE, Alexandria).
Intensities are scaled so that the largest is 100.

Peak list (10 most intense, 2θ = 10–90°, by angle)
| d [Å] | Position (°2θ) | I_rel | index |
| --- | --- | --- | --- |
| 3.007 | 29.7 | 50 | 1 0 -2 |
| 3.002 | 29.8 | 99 | 0 1 3 |
| 2.985 | 29.9 | 49 | 0 2 -1 |
| 2.597 | 34.5 | 100 | 1 1 1 |
| 1.841 | 49.5 | 36 | 2 -1 0 |
| 1.833 | 49.7 | 24 | 1 2 -3 |
| 1.569 | 58.8 | 29 | 2 0 3 |
| 1.567 | 59.0 | 28 | 1 2 4 |
| 1.564 | 59.1 | 14 | -1 3 4 |
| 1.561 | 59.2 | 14 | 1 3 0 |

Structure:
```
data_La2Pm3Sm2
_chemical_formula_sum 'La2 Pm3 Sm2'
_symmetry_space_group_name_H-M 'P -1'
_symmetry_Int_Tables_number 2
_symmetry_space_group_name_Hall '-P 1'
_cell_length_a 3.6840
_cell_length_b 6.3324
_cell_length_c 11.0364
_cell_angle_alpha 95.45
_cell_angle_beta 90.03
_cell_angle_gamma 106.80
loop_
_atom_site_label
_atom_site_fract_x
_atom_site_fract_y
_atom_site_fract_z
La1 0.2155 0.4293 0.3558
Pm1 0.3566 0.7151 0.9299
Pm2 0.5000 0.0000 0.5000
Sm1 0.0713 0.1412 0.7883
```

La6Pm2Sm: theoretical XRD peak list (a wavelength of 1.5418 Å), based on a DFT-relaxed cell (GGA-PBE, Alexandria).
Intensities are scaled so that the largest is 100.

Peak list (10 most intense, 2θ = 10–90°, by angle)
| d [Å] | Position (°2θ) | I_rel | index |
| --- | --- | --- | --- |
| 2.943 | 30.4 | 100 | 2 0 0 |
| 2.928 | 30.5 | 88 | 1 1 3 |
| 2.076 | 43.6 | 33 | 0 4 3 |
| 1.699 | 54.0 | 20 | 3 3 0 |
| 1.696 | 54.1 | 35 | 2 4 3 |
| 1.529 | 60.6 | 28 | 2 0 6 |
| 1.472 | 63.2 | 12 | 4 0 0 |
| 1.315 | 71.8 | 15 | 1 7 3 |
| 1.232 | 77.5 | 14 | 3 3 6 |
| 1.112 | 87.7 | 13 | 5 3 0 |

Structure:
```
data_La6Pm2Sm
_chemical_formula_sum 'La12 Pm4 Sm2'
_symmetry_space_group_name_H-M 'C m m m'
_symmetry_Int_Tables_number 65
_symmetry_space_group_name_Hall '-C 2 2'
_cell_length_a 5.8848
_cell_length_b 10.1990
_cell_length_c 10.7322
_cell_angle_alpha 90.00
_cell_angle_beta 90.00
_cell_angle_gamma 90.00
loop_
_atom_site_label
_atom_site_fract_x
_atom_site_fract_y
_atom_site_fract_z
La1 0.0000 0.0000 0.1654
La2 0.0000 0.3341 0.3345
Pm1 0.0000 0.3338 0.0000
Sm1 0.0000 0.0000 0.5000
```